# 1
The following is a computed X-ray powder pattern of K2MgMo2H4O10. It was derived from a cell relaxed with GGA+U, using Cu Ka.

Most intense lines, 2θ = 15–90°, low angle first:
2θ (°)	I (rel.)
15.4	77
23.0	81
25.0	85
27.0	100
29.5	75
30.1	77

Atomic structure:
Cell: 6.0090 6.5503 7.9564 Å, 111.39 96.77 109.07°
Space group P-1 (No. 2)
Asymmetric unit:
K 0.1693 0.2971 0.2537 [2 per cell]
Mg 0.5000 0.0000 0.5000 [1 per cell]
Mo 0.1673 0.3346 0.7392 [2 per cell]
H 0.3753 0.8724 0.1237 [2 per cell]
H 0.4220 0.8665 0.7844 [2 per cell]
O 0.1269 0.7625 0.4214 [2 per cell]
O 0.1393 0.1769 0.8794 [2 per cell]
O 0.2633 0.6501 0.8835 [2 per cell]
O 0.3907 0.2911 0.6099 [2 per cell]
O 0.4466 0.0215 0.2423 [2 per cell]



# 2
The following is a computed X-ray powder pattern of K2MgMo2H4O10. It was derived from a cell relaxed with GGA+U, using Cu Ka.

Most intense lines, 2θ = 15–90°, low angle first:
2θ (°)	I (rel.)
17.2	100
21.6	30
22.6	47
24.9	70
30.3	28
35.8	28

Atomic structure:
Cell: 5.5429 7.8931 8.2638 Å, 106.70 90.56 110.45°
Space group P-1 (No. 2)
Asymmetric unit:
K 0.1128 0.2136 0.2484 [2 per cell]
Mg 0.5000 0.0000 0.5000 [1 per cell]
Mo 0.0410 0.3394 0.7549 [2 per cell]
H 0.1550 0.0939 0.5293 [2 per cell]
H 0.4800 0.5055 0.1881 [2 per cell]
O 0.0117 0.8332 0.1399 [2 per cell]
O 0.1349 0.7852 0.4592 [2 per cell]
O 0.1459 0.5233 0.1617 [2 per cell]
O 0.3293 0.1845 0.5778 [2 per cell]
O 0.3803 0.5435 0.8038 [2 per cell]



# 3
The following is a computed X-ray powder pattern of KMnPH2O5. It was derived from a cell relaxed with GGA+U, using Cu Ka.

Most intense lines, 2θ = 15–90°, low angle first:
2θ (°)	I (rel.)
20.9	32
31.1	40
31.9	100
36.5	15
37.7	13
55.8	16

Atomic structure:
Cell: 4.9274 5.7562 8.4923 Å, 90.00 90.05 90.00°
Space group Pm (No. 6)
Asymmetric unit:
K 0.0000 0.0000 0.0000 [1 per cell]
K 0.4997 0.5000 0.0711 [1 per cell]
Mn 0.3924 0.5000 0.5161 [1 per cell]
Mn 0.8930 0.0000 0.5545 [1 per cell]
P 0.4594 0.0000 0.3181 [1 per cell]
P 0.9594 0.5000 0.7526 [1 per cell]
H 0.4504 0.1364 0.7373 [2 per cell]
H 0.9497 0.3636 0.3338 [2 per cell]
O 0.0094 0.5000 0.9307 [1 per cell]
O 0.0692 0.5000 0.3200 [1 per cell]
O 0.1004 0.2827 0.6717 [2 per cell]
O 0.1523 0.0000 0.3535 [1 per cell]
O 0.5100 0.0000 0.1400 [1 per cell]
O 0.5702 0.0000 0.7502 [1 per cell]
O 0.6003 0.2167 0.3998 [2 per cell]
O 0.6523 0.5000 0.7161 [1 per cell]